Na4Tl3Cd: theoretical PXRD pattern (Cu Ka), based on DFT lattice parameters and positions (PBE).
Kinematic intensities with the Lorentz-polarization factor, no thermal factor.

Top 12 peaks for 15 to 90 degrees two-theta, sorted by position:
Position (°2θ), I_rel, index
19.43, 49, 4 0 0
25.49, 52, 1 1 -1
32.25, 100, 3 1 1
36.36, 36, 0 2 0
39.46, 14, 8 0 0
41.55, 29, 4 2 0
52.36, 13, 2 2 -2
54.71, 17, 8 2 0
56.38, 12, 2 2 2
59.11, 11, 3 1 -3
62.85, 29, 3 3 1
67.05, 12, 11 1 1

Atomic structure:
```
data_Na4Tl3Cd
_chemical_formula_sum 'Na8 Tl6 Cd2'
_space_group_name_H-M_alt 'C 1 2/m 1'
_space_group_IT_number 12
_cell_length_a 18.916
_cell_length_b 4.943
_cell_length_c 4.942
_cell_angle_alpha 90.00
_cell_angle_beta 105.02
_cell_angle_gamma 90.00
loop_
_space_group_symop_operation_xyz
'x,y,z'
'-x,-y,-z'
'-x,y,-z'
'x,-y,z'
'x+1/2,y+1/2,z'
'-x+1/2,-y+1/2,-z'
'-x+1/2,y+1/2,-z'
'x+1/2,-y+1/2,z'
loop_
_atom_site_label
_atom_site_type_symbol
_atom_site_fract_x
_atom_site_fract_y
_atom_site_fract_z
Na1 Na 0.124 0.000 0.123
Na2 Na 0.124 0.500 0.624
Tl1 Tl 0.000 0.500 0.000
Tl2 Tl 0.249 0.500 0.250
Cd1 Cd 0.000 0.000 0.500
```